Diffraction record for SmScTlAu. The XRD peak list is theoretical, not measured: it uses a PBE-relaxed structure and Cu Kα (weighted mean of Kα1 and Kα2).
Lines closer than 0.1° are merged.

Cell and atoms:
a = 5.1650 Å, b = 5.1650 Å, c = 5.1650 Å
α = 60.00°, β = 60.00°, γ = 60.00°
Atoms (fractional coordinates):
Sm 0.0000 0.0000 0.0000
Sc 0.5000 0.5000 0.5000
Tl 0.7500 0.7500 0.7500
Au 0.2500 0.2500 0.2500

Top 10 peaks for 2θ = 15–90°, in order of rising 2θ:
2θ 21.07, rel. 7
2θ 24.37, rel. 14
2θ 34.74, rel. 100
2θ 40.98, rel. 4
2θ 42.89, rel. 5
2θ 49.94, rel. 18
2θ 56.33, rel. 6
2θ 62.27, rel. 37
2θ 73.31, rel. 12
2θ 83.75, rel. 17